Starting from a crystal structure in Alexandria, relaxed with GGA-PBE, the X-ray diffraction stick pattern of Dy4Ho3Se8 was computed for copper Kα.
Intensities are scaled so that the largest is 100.

Main lines, low angle first (2θ = 10–80°):
2θ = 13.38°, d = 6.616 Å, I = 6.9
2θ = 15.46°, d = 5.730 Å, I = 4.6
2θ = 21.94°, d = 4.052 Å, I = 4.1
2θ = 25.78°, d = 3.455 Å, I = 5.6
2θ = 26.95°, d = 3.308 Å, I = 14.6
2θ = 31.22°, d = 2.865 Å, I = 100.0
2θ = 34.10°, d = 2.629 Å, I = 3.3
2θ = 44.73°, d = 2.026 Å, I = 73.9
2θ = 53.00°, d = 1.728 Å, I = 7.4
2θ = 55.56°, d = 1.654 Å, I = 25.9
2θ = 65.12°, d = 1.432 Å, I = 12.0
2θ = 73.98°, d = 1.281 Å, I = 33.1

Cell and atoms:
Cell lengths 11.459, 11.460, 8.102 Å; angles 90.00, 134.99, 90.00 degrees
Space group C2/m (No. 12)
Asymmetric unit:
Dy 0.000 0.000 0.000 (multiplicity 2)
Dy 0.000 0.500 0.500 (multiplicity 2)
Dy 0.250 0.250 0.000 (multiplicity 4)
Ho 0.000 0.500 0.000 (multiplicity 2)
Ho 0.250 0.250 0.500 (multiplicity 4)
Se 0.000 0.246 0.500 (multiplicity 4)
Se 0.000 0.251 0.000 (multiplicity 4)
Se 0.247 0.000 0.501 (multiplicity 4)
Se 0.247 0.000 0.992 (multiplicity 4)